1.
Structure and computed PXRD pattern of Ba4HgPd2 (a structure optimized by DFT (PBE); CuKα).
Lines closer than 0.1° are merged.

Main lines, in order of rising 2θ (10 to 80 degrees two-theta):
2θ/deg	I_rel
27.75	100
27.97	55
33.00	78
33.15	14
41.77	19
45.48	15
45.74	14
55.73	20
57.30	15
67.71	13

Cell and atoms:
a = 8.783 Å, b = 8.783 Å, c = 8.783 Å
α = 109.22°, β = 109.22°, γ = 109.98°
Sites, in units of the cell vectors:
Ba1 0.006 0.392 0.253
Ba2 0.139 0.753 0.747
Ba3 0.142 0.256 0.753
Ba4 0.247 0.994 0.386
Ba5 0.503 0.389 0.247
Ba6 0.608 0.861 0.614
Ba7 0.611 0.858 0.114
Ba8 0.744 0.497 0.886
Hg1 0.000 0.000 0.000
Hg2 0.750 0.250 0.500
Pd1 0.244 0.625 0.119
Pd2 0.375 0.494 0.619
Pd3 0.506 0.125 0.881
Pd4 0.875 0.756 0.381

=====

2.
Structure and computed PXRD pattern of Pr2Cu3Au (a structure optimized by DFT (PBE); CuKα).
Lines closer than 0.1° are merged.

Main lines, in order of rising 2θ (10 to 80 degrees two-theta):
2θ/deg	I_rel
23.33	18
33.25	100
33.35	49
40.65	28
40.89	55
48.09	17
53.56	25
53.81	12
64.74	14
64.91	27

Cell and atoms:
a = 8.828 Å, b = 8.518 Å, c = 5.833 Å
α = 73.25°, β = 67.50°, γ = 39.25°
Sites, in units of the cell vectors:
Pr1 0.248 0.752 0.752
Pr2 0.250 0.250 0.250
Pr3 0.750 0.750 0.750
Pr4 0.752 0.248 0.248
Cu1 0.161 0.161 0.839
Cu2 0.161 0.677 0.323
Cu3 0.323 0.839 0.161
Cu4 0.677 0.161 0.839
Cu5 0.839 0.323 0.677
Cu6 0.839 0.839 0.161
Au1 0.333 0.333 0.667
Au2 0.667 0.667 0.333

=====

3.
Structure and computed PXRD pattern of ThFe3Ge3 (a structure optimized by DFT (PBE); CuKα).
Lines closer than 0.1° are merged.

Main lines, in order of rising 2θ (10 to 80 degrees two-theta):
2θ/deg	I_rel
21.63	33
24.99	70
33.28	96
37.93	25
40.03	100
43.93	31
45.98	18
51.29	21
56.25	20
61.04	34

Cell and atoms:
a = 8.218 Å, b = 8.218 Å, c = 4.122 Å
α = 90.00°, β = 90.00°, γ = 120.00°
Sites, in units of the cell vectors:
Th1 0.333 0.667 0.250
Th2 0.667 0.333 0.750
Fe1 0.048 0.852 0.250
Fe2 0.148 0.196 0.250
Fe3 0.196 0.048 0.750
Fe4 0.804 0.952 0.250
Fe5 0.852 0.804 0.750
Fe6 0.952 0.148 0.750
Ge1 0.084 0.709 0.750
Ge2 0.291 0.375 0.750
Ge3 0.375 0.084 0.250
Ge4 0.625 0.916 0.750
Ge5 0.709 0.625 0.250
Ge6 0.916 0.291 0.250

=====

> Which formula does entry 3 have?

ThFe3Ge3

=====

> What is the formula in the second record?

Pr2Cu3Au